Starting from DFT lattice parameters and positions (PBE), the XRD peak list of HoEr2LuIn2 was calculated for Cu Kα, 1.54184 Å.
Lines closer than 0.1° are merged.

Crystal structure
abc: 5.3303 5.3303 6.6702
angles: 90.00 90.00 120.00
Space group P-6m2 (No. 187)
Asymmetric unit:
1 Ho 0.0000 0.0000 0.0000
2 Er 0.6667 0.3333 0.2506
3 Lu 0.3333 0.6667 0.5000
4 In 0.0000 0.0000 0.5000
5 In 0.3333 0.6667 0.0000

Top 10 peaks for 10 to 80 degrees two-theta, in order of rising 2θ:
- (1 0 1), 2θ 23.44, rel. 4.6
- (1 0 2), 2θ 33.14, rel. 97.2
- (1 1 0), 2θ 33.63, rel. 100.0
- (1 1 2), 2θ 43.46, rel. 6.9
- (2 0 2), 2θ 47.93, rel. 34.6
- (0 0 4), 2θ 55.07, rel. 8.1
- (2 1 2), 2θ 59.82, rel. 35.7
- (3 0 0), 2θ 60.13, rel. 18.7
- (1 1 4), 2θ 66.10, rel. 28.1
- (2 2 0), 2θ 70.69, rel. 11.5